Record 1
# Li3VP2O8
Theoretical powder diffraction line list, a wavelength of 1.5418 Å. Input: DFT lattice parameters and positions (GGA+U).
Intensities are scaled so that the largest is 100.

Most intense lines, 10 to 90 degrees two-theta, in order of falling intensity:
| 2theta | I (rel.) | (hkl) |
| --- | --- | --- |
| 14.7 | 100 | 0 1 1 |
| 34.3 | 89 | 0 4 2 |
| 24.4 | 83 | 1 2 0 |
| 25.4 | 72 | 1 2 -2 |
| 35.1 | 66 | 1 6 -1 |
| 24.2 | 59 | 0 4 1 |
| 20.3 | 35 | 0 3 1 |
| 26.8 | 31 | 1 3 0 |

Cell and atoms:
abc: 4.922 17.953 7.900
angles: 90.00 125.66 90.00
Space group P2_1/c (No. 14)
Unique sites:
Li: 0.025 0.052 0.288 [4 per cell]
Li: 0.284 0.620 0.002 [4 per cell]
Li: 0.380 0.198 0.689 [4 per cell]
V: 0.186 0.127 0.985 [4 per cell]
P: 0.109 0.715 0.287 [4 per cell]
P: 0.493 0.036 0.770 [4 per cell]
O: 0.035 0.673 0.097 [4 per cell]
O: 0.143 0.699 0.766 [4 per cell]
O: 0.173 0.199 0.184 [4 per cell]
O: 0.174 0.566 0.532 [4 per cell]
O: 0.189 0.060 0.774 [4 per cell]
O: 0.445 0.065 0.575 [4 per cell]
O: 0.455 0.690 0.488 [4 per cell]
O: 0.492 0.552 0.274 [4 per cell]

=====

Record 2
# Li2VP2O8
Theoretical powder diffraction line list, a wavelength of 1.5418 Å. Input: DFT lattice parameters and positions (GGA+U).
Intensities are scaled so that the largest is 100.

Most intense lines, 10 to 90 degrees two-theta, in order of falling intensity:
| 2theta | I (rel.) | (hkl) |
| --- | --- | --- |
| 14.4 | 100 | 0 1 1 |
| 24.1 | 80 | 1 2 -1 |
| 25.8 | 58 | 1 2 1 |
| 24.6 | 55 | 0 4 1 |
| 34.2 | 50 | 0 4 2 |
| 36.1 | 42 | 1 6 0 |
| 20.4 | 30 | 0 3 1 |
| 24.2 | 30 | 1 1 1 |

Cell and atoms:
abc: 4.897 17.384 6.594
angles: 90.00 94.87 90.00
Space group P2_1 (No. 4)
Unique sites:
Li: 0.016 0.000 0.048 [2 per cell]
Li: 0.034 0.672 0.738 [2 per cell]
Li: 0.440 0.250 0.070 [2 per cell]
Li: 0.463 0.435 0.742 [2 per cell]
V: 0.057 0.682 0.247 [2 per cell]
V: 0.460 0.425 0.272 [2 per cell]
P: 0.018 0.019 0.525 [2 per cell]
P: 0.080 0.842 0.971 [2 per cell]
P: 0.417 0.269 0.530 [2 per cell]
P: 0.482 0.092 0.975 [2 per cell]
O: 0.032 0.109 0.545 [2 per cell]
O: 0.119 0.496 0.678 [2 per cell]
O: 0.121 0.753 0.004 [2 per cell]
O: 0.123 0.485 0.291 [2 per cell]
O: 0.169 0.117 0.959 [2 per cell]
O: 0.191 0.890 0.149 [2 per cell]
O: 0.231 0.860 0.776 [2 per cell]
O: 0.235 0.359 0.076 [2 per cell]
O: 0.271 0.747 0.428 [2 per cell]
O: 0.272 0.247 0.725 [2 per cell]
O: 0.296 0.231 0.338 [2 per cell]
O: 0.325 0.990 0.546 [2 per cell]
O: 0.379 0.623 0.832 [2 per cell]
O: 0.381 0.623 0.214 [2 per cell]
O: 0.399 0.359 0.507 [2 per cell]
O: 0.475 0.002 0.963 [2 per cell]

=====

Record 3
# LiVP3O9
Theoretical powder diffraction line list, a wavelength of 1.5418 Å. Input: DFT lattice parameters and positions (GGA+U).
Intensities are scaled so that the largest is 100.

Most intense lines, 10 to 90 degrees two-theta, in order of falling intensity:
| 2theta | I (rel.) | (hkl) |
| --- | --- | --- |
| 16.0 | 100 | 1 1 0 |
| 17.1 | 62 | 1 0 1 |
| 29.2 | 31 | 2 1 -1 |
| 32.2 | 26 | 2 2 0 |
| 38.4 | 17 | 2 1 -3 |
| 23.5 | 16 | 1 1 2 |
| 44.5 | 10 | 3 2 -1 |
| 64.9 | 8 | 4 0 -2 |

Cell and atoms:
abc: 6.429 7.069 10.357
angles: 89.99 89.98 68.51
Space group P1 (No. 1)
Unique sites:
Li: 0.000 0.000 0.000 [1 per cell]
Li: 0.500 0.500 0.500 [1 per cell]
V: 0.000 0.369 0.000 [1 per cell]
V: 0.500 0.870 0.500 [1 per cell]
P: 0.153 0.158 0.287 [1 per cell]
P: 0.354 0.091 0.780 [1 per cell]
P: 0.493 0.379 0.933 [1 per cell]
P: 0.653 0.658 0.787 [1 per cell]
P: 0.854 0.591 0.280 [1 per cell]
P: 0.994 0.878 0.433 [1 per cell]
O: 0.073 0.396 0.322 [1 per cell]
O: 0.099 0.131 0.148 [1 per cell]
O: 0.173 0.106 0.877 [1 per cell]
O: 0.229 0.754 0.476 [1 per cell]
O: 0.304 0.423 0.027 [1 per cell]
O: 0.310 0.087 0.639 [1 per cell]
O: 0.387 0.061 0.334 [1 per cell]
O: 0.445 0.272 0.803 [1 per cell]
O: 0.481 0.594 0.876 [1 per cell]
O: 0.575 0.897 0.821 [1 per cell]
O: 0.601 0.631 0.648 [1 per cell]
O: 0.671 0.608 0.376 [1 per cell]
O: 0.728 0.255 0.976 [1 per cell]
O: 0.805 0.922 0.526 [1 per cell]
O: 0.809 0.587 0.139 [1 per cell]
O: 0.887 0.561 0.835 [1 per cell]
O: 0.945 0.773 0.302 [1 per cell]
O: 0.981 0.094 0.376 [1 per cell]

=====

Record 4
# LiVP2O7
Theoretical powder diffraction line list, a wavelength of 1.5418 Å. Input: DFT lattice parameters and positions (GGA+U).
Intensities are scaled so that the largest is 100.

Most intense lines, 10 to 90 degrees two-theta, in order of falling intensity:
| 2theta | I (rel.) | (hkl) |
| --- | --- | --- |
| 29.2 | 100 | -1 1 2 |
| 30.7 | 78 | 1 1 -2 |
| 29.5 | 61 | 1 -1 2 |
| 28.9 | 42 | 0 1 2 |
| 21.2 | 35 | 1 -1 0 |
| 18.4 | 34 | 0 1 -1 |
| 18.7 | 33 | 1 0 -1 |
| 57.8 | 25 | 2 -1 4 |

Cell and atoms:
abc: 5.274 5.364 9.075
angles: 97.58 98.06 104.15
Space group P1 (No. 1)
Unique sites:
Li: 0.000 0.000 0.000 [1 per cell]
Li: 0.385 0.599 0.509 [1 per cell]
V: 0.028 0.994 0.498 [1 per cell]
V: 0.384 0.632 0.001 [1 per cell]
P: 0.482 0.095 0.798 [1 per cell]
P: 0.488 0.091 0.294 [1 per cell]
P: 0.918 0.537 0.202 [1 per cell]
P: 0.927 0.519 0.700 [1 per cell]
O: 0.077 0.686 0.357 [1 per cell]
O: 0.082 0.679 0.854 [1 per cell]
O: 0.086 0.373 0.608 [1 per cell]
O: 0.086 0.406 0.109 [1 per cell]
O: 0.313 0.208 0.390 [1 per cell]
O: 0.317 0.937 0.645 [1 per cell]
O: 0.326 0.928 0.144 [1 per cell]
O: 0.340 0.262 0.887 [1 per cell]
O: 0.603 0.922 0.893 [1 per cell]
O: 0.663 0.956 0.386 [1 per cell]
O: 0.683 0.323 0.242 [1 per cell]
O: 0.719 0.286 0.746 [1 per cell]
O: 0.764 0.692 0.110 [1 per cell]
O: 0.785 0.681 0.609 [1 per cell]

=====

Which formula does entry 4 have? LiVP2O7